1.
For Ho2Zn2Ag, a crystal structure in Alexandria, relaxed with GGA-PBE gives the theoretical powder X-ray diffraction pattern in this record (Cu Kα (weighted mean of Kα1 and Kα2)).

Cell and atoms:
```
Ho2Zn2Ag
1.0
7.2653 0.0000 0.0000
0.0000 7.2653 0.0000
0.0000 0.0000 8.2853
Ho Zn Ag
8 8 4
Direct
0.1707 0.3293 0.0000 Ho
0.1707 0.3293 0.5000 Ho
0.3293 0.8293 0.0000 Ho
0.3293 0.8293 0.5000 Ho
0.6707 0.1707 0.0000 Ho
0.6707 0.1707 0.5000 Ho
0.8293 0.6707 0.0000 Ho
0.8293 0.6707 0.5000 Ho
0.1266 0.6266 0.2500 Zn
0.1266 0.6266 0.7500 Zn
0.3734 0.1266 0.2500 Zn
0.3734 0.1266 0.7500 Zn
0.6266 0.8734 0.2500 Zn
0.6266 0.8734 0.7500 Zn
0.8734 0.3734 0.2500 Zn
0.8734 0.3734 0.7500 Zn
0.0000 0.0000 0.2496 Ag
0.0000 0.0000 0.7504 Ag
0.5000 0.5000 0.2504 Ag
0.5000 0.5000 0.7496 Ag
```

Principal peaks in the range 2θ from 5° to 70°, in order of falling intensity:
two_theta, Rel. int.
35.10, 100
32.79, 42
39.21, 36
60.15, 20
43.70, 19
27.45, 15
56.78, 15
58.30, 13

=====

2.
For Cr2FeTe4, a crystal structure in Alexandria, relaxed with GGA-PBE gives the theoretical powder X-ray diffraction pattern in this record (Cu Kα (weighted mean of Kα1 and Kα2)).

Cell and atoms:
```
Cr2FeTe4
1.0
13.4657 0.0000 0.0000
0.0000 4.0555 0.0000
-3.5361 0.0000 5.9257
Cr Fe Te
4 2 8
Direct
0.2505 0.0000 0.2379 Cr
0.2495 0.5000 0.7621 Cr
0.7495 0.0000 0.7621 Cr
0.7505 0.5000 0.2379 Cr
0.0000 0.0000 0.0000 Fe
0.5000 0.5000 0.0000 Fe
0.1206 0.0000 0.7819 Te
0.1253 0.5000 0.2911 Te
0.3747 0.0000 0.7089 Te
0.3794 0.5000 0.2181 Te
0.6206 0.5000 0.7819 Te
0.6253 0.0000 0.2911 Te
0.8747 0.5000 0.7089 Te
0.8794 0.0000 0.2181 Te
```

Principal peaks in the range 2θ from 5° to 70°, in order of falling intensity:
two_theta, Rel. int.
29.86, 100
30.16, 52
40.49, 42
45.33, 37
44.69, 19
54.86, 19
40.72, 18
54.36, 18

=====

3.
For La3Sm2Ge2, a crystal structure in Alexandria, relaxed with GGA-PBE gives the theoretical powder X-ray diffraction pattern in this record (Cu Kα (weighted mean of Kα1 and Kα2)).

Cell and atoms:
```
La3Sm2Ge2
1.0
12.4009 0.0000 0.0000
0.0000 4.3057 0.0000
-3.0211 0.0000 8.0630
La Sm Ge
6 4 4
Direct
0.0000 0.0000 0.0000 La
0.1313 0.0000 0.4425 La
0.3687 0.5000 0.5575 La
0.5000 0.5000 0.0000 La
0.6313 0.5000 0.4425 La
0.8687 0.0000 0.5575 La
0.1526 0.5000 0.8101 Sm
0.3474 0.0000 0.1899 Sm
0.6526 0.0000 0.8101 Sm
0.8474 0.5000 0.1899 Sm
0.1792 0.5000 0.1954 Ge
0.3208 0.0000 0.8046 Ge
0.6792 0.0000 0.1954 Ge
0.8208 0.5000 0.8046 Ge
```

Principal peaks in the range 2θ from 5° to 70°, in order of falling intensity:
two_theta, Rel. int.
30.12, 100
33.24, 71
31.39, 40
29.34, 39
41.97, 34
31.13, 34
31.06, 31
25.86, 29

=====

4.
For PuZn12Ni6, a crystal structure in Alexandria, relaxed with GGA-PBE gives the theoretical powder X-ray diffraction pattern in this record (Cu Kα (weighted mean of Kα1 and Kα2)).

Cell and atoms:
```
PuZn12Ni6
1.0
5.4456 3.1440 2.7910
-5.4456 3.1440 2.7910
0.0000 -6.2881 2.7910
Pu Zn Ni
1 12 6
Direct
0.0000 0.0000 0.0000 Pu
0.1148 0.5000 0.8852 Zn
0.1148 0.8852 0.5000 Zn
0.1422 0.4035 0.4035 Zn
0.4035 0.1422 0.4035 Zn
0.4035 0.4035 0.1422 Zn
0.5000 0.1148 0.8852 Zn
0.5000 0.8852 0.1148 Zn
0.5965 0.5965 0.8578 Zn
0.5965 0.8578 0.5965 Zn
0.8578 0.5965 0.5965 Zn
0.8852 0.1148 0.5000 Zn
0.8852 0.5000 0.1148 Zn
0.2750 0.2750 0.6988 Ni
0.2750 0.6988 0.2750 Ni
0.3012 0.7250 0.7250 Ni
0.6988 0.2750 0.2750 Ni
0.7250 0.3012 0.7250 Ni
0.7250 0.7250 0.3012 Ni
```

Principal peaks in the range 2θ from 5° to 70°, in order of falling intensity:
two_theta, Rel. int.
35.97, 100
36.16, 68
27.19, 45
53.26, 43
47.52, 42
47.29, 31
40.67, 28
33.00, 27

=====

5.
For Tm2V2ZnRu5, a crystal structure in Alexandria, relaxed with GGA-PBE gives the theoretical powder X-ray diffraction pattern in this record (Cu Kα (weighted mean of Kα1 and Kα2)).

Cell and atoms:
```
Tm2V2ZnRu5
1.0
10.1487 0.0000 0.0000
0.0000 10.1487 0.0000
0.0000 0.0000 3.2051
Tm V Zn Ru
4 4 2 10
Direct
0.1718 0.3282 0.0000 Tm
0.3282 0.8282 0.0000 Tm
0.6718 0.1718 0.0000 Tm
0.8282 0.6718 0.0000 Tm
0.1305 0.6305 0.0000 V
0.3695 0.1305 0.0000 V
0.6305 0.8695 0.0000 V
0.8695 0.3695 0.0000 V
0.0000 0.0000 0.0000 Zn
0.5000 0.5000 0.0000 Zn
0.0000 0.5000 0.5000 Ru
0.0659 0.7973 0.5000 Ru
0.2027 0.0659 0.5000 Ru
0.2973 0.5659 0.5000 Ru
0.4341 0.2973 0.5000 Ru
0.5000 0.0000 0.5000 Ru
0.5659 0.7027 0.5000 Ru
0.7027 0.4341 0.5000 Ru
0.7973 0.9341 0.5000 Ru
0.9341 0.2027 0.5000 Ru
```

Principal peaks in the range 2θ from 5° to 70°, in order of falling intensity:
two_theta, Rel. int.
39.74, 100
36.50, 58
37.61, 43
34.25, 35
42.76, 22
64.99, 19
57.50, 15
65.72, 12

=====

6.
For Al2SbPt9, a crystal structure in Alexandria, relaxed with GGA-PBE gives the theoretical powder X-ray diffraction pattern in this record (Cu Kα (weighted mean of Kα1 and Kα2)).

Cell and atoms:
```
Al2SbPt9
1.0
3.9704 0.0000 0.0000
0.0000 3.9704 0.0000
0.0000 0.0000 11.9570
Al Sb Pt
2 1 9
Direct
0.0000 0.0000 0.1574 Al
0.0000 0.0000 0.8426 Al
0.0000 0.0000 0.5000 Sb
0.0000 0.5000 0.0000 Pt
0.0000 0.5000 0.3226 Pt
0.0000 0.5000 0.6774 Pt
0.5000 0.0000 0.0000 Pt
0.5000 0.0000 0.3226 Pt
0.5000 0.0000 0.6774 Pt
0.5000 0.5000 0.1621 Pt
0.5000 0.5000 0.5000 Pt
0.5000 0.5000 0.8379 Pt
```

Principal peaks in the range 2θ from 5° to 70°, in order of falling intensity:
two_theta, Rel. int.
39.25, 100
45.70, 33
66.48, 20
45.52, 16
22.36, 14
31.83, 12
66.62, 11
51.45, 4

=====

7.
For NdSc4Se6, a crystal structure in Alexandria, relaxed with GGA-PBE gives the theoretical powder X-ray diffraction pattern in this record (Cu Kα (weighted mean of Kα1 and Kα2)).

Cell and atoms:
```
NdSc4Se6
1.0
1.9510 -6.3777 0.0000
1.9510 6.3777 0.0000
0.0000 0.0000 20.0077
Nd Sc Se
2 8 12
Direct
0.1535 0.8465 0.7500 Nd
0.8465 0.1535 0.2500 Nd
0.0932 0.9068 0.1233 Sc
0.0932 0.9068 0.3767 Sc
0.3576 0.6424 0.0370 Sc
0.3576 0.6424 0.4630 Sc
0.6424 0.3576 0.5370 Sc
0.6424 0.3576 0.9630 Sc
0.9068 0.0932 0.6233 Sc
0.9068 0.0932 0.8767 Sc
0.0000 0.0000 0.0000 Se
0.0000 0.0000 0.5000 Se
0.1743 0.8257 0.2500 Se
0.2672 0.7328 0.5889 Se
0.2672 0.7328 0.9111 Se
0.4546 0.5454 0.1595 Se
0.4546 0.5454 0.3405 Se
0.5454 0.4546 0.6595 Se
0.5454 0.4546 0.8405 Se
0.7328 0.2672 0.0889 Se
0.7328 0.2672 0.4111 Se
0.8257 0.1743 0.7500 Se
```

Principal peaks in the range 2θ from 5° to 70°, in order of falling intensity:
two_theta, Rel. int.
32.40, 100
30.24, 65
33.96, 43
46.55, 30
29.88, 26
43.56, 25
31.44, 24
56.52, 23

=====

8.
For Be6Cu5Rh, a crystal structure in Alexandria, relaxed with GGA-PBE gives the theoretical powder X-ray diffraction pattern in this record (Cu Kα (weighted mean of Kα1 and Kα2)).

Cell and atoms:
```
Be6Cu5Rh
1.0
1.9032 -5.7200 0.0000
1.9032 5.7200 0.0000
0.0000 0.0000 5.5156
Be Cu Rh
6 5 1
Direct
0.0000 0.0000 0.2490 Be
0.0000 0.0000 0.7510 Be
0.3345 0.6655 0.2484 Be
0.3345 0.6655 0.7516 Be
0.6655 0.3345 0.2484 Be
0.6655 0.3345 0.7516 Be
0.1696 0.8304 0.0000 Cu
0.1699 0.8301 0.5000 Cu
0.5000 0.5000 0.0000 Cu
0.8304 0.1696 0.0000 Cu
0.8301 0.1699 0.5000 Cu
0.5000 0.5000 0.5000 Rh
```

Principal peaks in the range 2θ from 5° to 70°, in order of falling intensity:
two_theta, Rel. int.
33.26, 100
47.16, 100
32.47, 53
47.74, 48
58.93, 36
69.83, 14
67.98, 8
16.07, 2

=====

9.
For Zr5In3, a crystal structure in Alexandria, relaxed with GGA-PBE gives the theoretical powder X-ray diffraction pattern in this record (Cu Kα (weighted mean of Kα1 and Kα2)).

Cell and atoms:
```
Zr5In3
1.0
0.0000 4.3017 6.4577
3.2385 0.0000 6.4577
3.2385 4.3017 0.0000
Zr In
5 3
Direct
0.0000 0.0000 0.0000 Zr
0.1236 0.1236 0.3764 Zr
0.3764 0.3764 0.1236 Zr
0.6236 0.6236 0.8764 Zr
0.8764 0.8764 0.6236 Zr
0.2459 0.2459 0.7541 In
0.5000 0.5000 0.5000 In
0.7541 0.7541 0.2459 In
```

Principal peaks in the range 2θ from 5° to 70°, in order of falling intensity:
two_theta, Rel. int.
34.71, 100
39.41, 35
58.95, 21
42.01, 15
68.38, 13
68.51, 13
56.86, 6
57.05, 6

=====

10.
For Pr4Nb, a crystal structure in Alexandria, relaxed with GGA-PBE gives the theoretical powder X-ray diffraction pattern in this record (Cu Kα (weighted mean of Kα1 and Kα2)).

Cell and atoms:
```
Pr4Nb
1.0
5.6966 0.0000 0.0000
0.0000 5.6966 0.0000
0.0000 0.0000 5.6966
Pr Nb
4 1
Direct
0.0000 0.0000 0.0000 Pr
0.0000 0.5000 0.5000 Pr
0.5000 0.0000 0.5000 Pr
0.5000 0.5000 0.0000 Pr
0.5000 0.5000 0.5000 Nb
```

Principal peaks in the range 2θ from 5° to 70°, in order of falling intensity:
two_theta, Rel. int.
31.41, 100
27.11, 98
45.01, 74
53.34, 46
55.91, 26
65.55, 12
15.56, 12
22.07, 10

=====

11.
For SrGaSi2Pd, a crystal structure in Alexandria, relaxed with GGA-PBE gives the theoretical powder X-ray diffraction pattern in this record (Cu Kα (weighted mean of Kα1 and Kα2)).

Cell and atoms:
```
SrGaSi2Pd
1.0
4.2934 0.0000 0.0000
0.0000 4.2934 0.0000
0.0000 0.0000 10.3498
Sr Ga Si Pd
2 2 4 2
Direct
0.0000 0.0000 0.0000 Sr
0.5000 0.5000 0.5000 Sr
0.0000 0.5000 0.7500 Ga
0.5000 0.0000 0.2500 Ga
0.0000 0.0000 0.3830 Si
0.0000 0.0000 0.6170 Si
0.5000 0.5000 0.1170 Si
0.5000 0.5000 0.8830 Si
0.0000 0.5000 0.2500 Pd
0.5000 0.0000 0.7500 Pd
```

Principal peaks in the range 2θ from 5° to 70°, in order of falling intensity:
two_theta, Rel. int.
34.24, 100
42.09, 39
33.32, 23
61.86, 15
55.63, 15
34.67, 15
17.13, 14
61.04, 13

=====

12.
For TbHo3Ir3, a crystal structure in Alexandria, relaxed with GGA-PBE gives the theoretical powder X-ray diffraction pattern in this record (Cu Kα (weighted mean of Kα1 and Kα2)).

Cell and atoms:
```
TbHo3Ir3
1.0
4.9064 -4.9567 0.0000
4.9064 4.9567 0.0000
-0.0050 0.0000 6.5838
Tb Ho Ir
2 6 6
Direct
0.2503 0.2503 0.0005 Tb
0.7497 0.7497 0.9995 Tb
0.2405 0.7595 0.0000 Ho
0.2445 0.7555 0.5000 Ho
0.2448 0.2448 0.5005 Ho
0.7552 0.7552 0.4995 Ho
0.7555 0.2445 0.5000 Ho
0.7595 0.2405 0.0000 Ho
0.0000 0.0000 0.2505 Ir
0.0000 0.0000 0.7495 Ir
0.0000 0.5000 0.2514 Ir
0.0000 0.5000 0.7486 Ir
0.5000 0.0000 0.2514 Ir
0.5000 0.0000 0.7486 Ir
```

Principal peaks in the range 2θ from 5° to 70°, in order of falling intensity:
two_theta, Rel. int.
37.57, 100
36.25, 27
36.63, 27
12.69, 20
52.48, 19
66.08, 19
66.58, 19
68.42, 9